Structure and simulated powder X-ray diffraction pattern of Tl4HgPt (a PBE-relaxed structure; a wavelength of 1.5418 Å).
Peak positions follow from Bragg's law for the DFT cell and can differ from measured ones.

The 10 most intense peaks (5 to 70 degrees two-theta), sorted by position:
| 2θ/deg | d [Å] | Rel. int. | index |
| --- | --- | --- | --- |
| 27.90 | 3.198 | 98 | 2 1 1 |
| 34.09 | 2.630 | 24 | 2 2 0 |
| 35.31 | 2.542 | 69 | 1 1 4 |
| 35.58 | 2.523 | 100 | 2 1 3 |
| 38.26 | 2.352 | 98 | 3 1 0 |
| 39.37 | 2.289 | 58 | 2 0 4 |
| 55.22 | 1.663 | 18 | 4 2 0 |
| 58.98 | 1.566 | 36 | 4 0 4 |
| 61.81 | 1.501 | 43 | 3 3 4 |
| 62.55 | 1.485 | 26 | 2 1 7 |

Cell lengths 7.439, 7.439, 11.616 Å; angles 90.00, 90.00, 90.00 degrees
Space group I4/mcm (No. 140)
Asymmetric unit:
Tl 0.155 0.345 0.140
Hg 0.000 0.000 0.000
Pt 0.000 0.000 0.250